Record 1
Simulated PXRD pattern
Compound: BaSi2N2O2
Radiation: Cu Ka
Structure: the GGA-PBE geometry in the Materials Project
Intensities are scaled so that the largest is 100.

Structural model:
abc: 14.5613 5.4036 4.8801
angles: 90.00 90.00 90.00
Space group Pbcn (No. 60)
Unique sites:
Ba1 0.0000 0.2463 0.2500 x4
Si1 0.2003 0.3398 0.6995 x8
N1 0.2220 0.3689 0.3464 x8
O1 0.0932 0.2665 0.7514 x8

The 10 most intense peaks (10° ≤ 2θ ≤ 80°), sorted by position:
- hkl 2 0 0, 12.16°, I 33
- hkl 4 0 0, 24.45°, I 36
- hkl 1 1 1, 25.34°, I 48
- hkl 3 1 1, 30.80°, I 100
- hkl 0 2 0, 33.16°, I 27
- hkl 2 2 0, 35.44°, I 18
- hkl 0 0 2, 36.84°, I 27
- hkl 5 1 1, 39.72°, I 30
- hkl 0 2 2, 50.39°, I 14
- hkl 7 1 1, 50.59°, I 31

***

Record 2
Simulated PXRD pattern
Compound: Ba3SrSi8N8O8
Radiation: Cu Ka
Structure: the GGA-PBE geometry in the Materials Project
Intensities are scaled so that the largest is 100.

Structural model:
abc: 4.8534 5.5266 14.4786
angles: 89.03 89.98 89.97
Space group P1 (No. 1)
Unique sites:
Ba1 0.0000 0.0000 0.0000 x1
Ba2 0.0022 0.5034 0.4478 x1
Ba3 0.5025 0.9868 0.4998 x1
Sr1 0.4979 0.4766 0.9439 x1
Si1 0.4535 0.9895 0.7777 x1
Si2 0.4541 0.4965 0.6750 x1
Si3 0.4558 0.1936 0.1744 x1
Si4 0.4558 0.6873 0.2693 x1
Si5 0.9539 0.9927 0.2734 x1
Si6 0.9547 0.4953 0.1710 x1
Si7 0.9557 0.3051 0.7735 x1
Si8 0.9558 0.8070 0.6785 x1
N1 0.1022 0.7107 0.2452 x1
N2 0.1027 0.0211 0.7516 x1
N3 0.1032 0.2121 0.2000 x1
N4 0.1034 0.5224 0.6999 x1
N5 0.5993 0.2786 0.7520 x1
N6 0.6014 0.7805 0.7014 x1
N7 0.6047 0.9702 0.2456 x1
N8 0.6056 0.4729 0.1985 x1
O1 0.0025 0.0440 0.3830 x1
O2 0.0028 0.3790 0.8806 x1
O3 0.0034 0.8792 0.5702 x1
O4 0.0064 0.5496 0.0616 x1
O5 0.5011 0.1415 0.0650 x1
O6 0.5019 0.6154 0.3780 x1
O7 0.5023 0.9121 0.8855 x1
O8 0.5064 0.4421 0.5661 x1

The 10 most intense peaks (10° ≤ 2θ ≤ 80°), sorted by position:
- hkl 0 0 2, 12.23°, I 49
- hkl 0 0 4, 24.60°, I 61
- hkl 1 1 1, 25.12°, I 64
- hkl 1 -1 1, 25.25°, I 61
- hkl 1 0 3, 26.04°, I 30
- hkl 0 1 -4, 29.74°, I 28
- hkl -1 1 3, 30.56°, I 100
- hkl 1 1 -3, 30.90°, I 94
- hkl 0 2 0, 32.40°, I 45
- hkl 2 0 0, 37.05°, I 69